(1)
The following is a simulated powder diffractogram of In3Pt2. It was derived from a cell relaxed with PBE, using CuKα.
Neutral-atom scattering factors, no anomalous dispersion.

Crystal structure
```
In3Pt2
1.0
4.6288 0.0000 0.0000
-2.3144 4.0086 0.0000
0.0000 0.0000 5.6219
In Pt
3 2
direct
0.0000 0.0000 0.0000
0.3333 0.6667 0.3514
0.6667 0.3333 0.6486
0.3333 0.6667 0.8408
0.6667 0.3333 0.1592
```

Largest 8 diffraction maxima, in order of rising 2θ, 15 to 90 degrees two-theta:
| 2θ/deg | d_spacing | I_rel |
| --- | --- | --- |
| 15.76 | 5.622 | 18 |
| 22.18 | 4.009 | 26 |
| 27.32 | 3.264 | 18 |
| 38.91 | 2.314 | 92 |
| 39.14 | 2.302 | 100 |
| 56.38 | 1.632 | 34 |
| 70.47 | 1.336 | 16 |
| 70.62 | 1.334 | 35 |


(2)
The following is a simulated powder diffractogram of PuIn7Pt2. It was derived from a cell relaxed with PBE, using CuKα.
Neutral-atom scattering factors, no anomalous dispersion.

Crystal structure
```
PuIn7Pt2
1.0
-2.2655 2.2655 11.3762
2.2655 -2.2655 11.3762
2.2655 2.2655 -11.3762
Pu In Pt
1 7 2
direct
0.0000 0.0000 0.0000
0.1065 0.6065 0.5000
0.2500 0.7500 0.5000
0.3935 0.8935 0.5000
0.5000 0.5000 0.0000
0.6065 0.1065 0.5000
0.7500 0.2500 0.5000
0.8935 0.3935 0.5000
0.3193 0.3193 0.0000
0.6807 0.6807 0.0000
```

Largest 8 diffraction maxima, in order of rising 2θ, 15 to 90 degrees two-theta:
| 2θ/deg | d_spacing | I_rel |
| --- | --- | --- |
| 22.86 | 3.890 | 53 |
| 32.06 | 2.792 | 21 |
| 36.72 | 2.447 | 100 |
| 39.79 | 2.266 | 56 |
| 42.50 | 2.127 | 12 |
| 46.38 | 1.958 | 17 |
| 57.53 | 1.602 | 19 |
| 70.22 | 1.340 | 30 |